# 1
The following is a theoretical powder diffractogram of Li4BiAu3. It was derived from a structure optimized by DFT (PBE), using Cu Kα.
Kinematic intensities with the Lorentz-polarization factor, no thermal factor.

Structure:
```
data_Li4BiAu3
_space_group_name_H-M_alt 'P 4/m m m'
_space_group_IT_number 123
_space_group_name_Hall '-P 4 2'
_cell_length_a 4.432
_cell_length_b 4.432
_cell_length_c 6.916
_cell_angle_alpha 90.00
_cell_angle_beta 90.00
_cell_angle_gamma 90.00
loop_
_atom_site_label
_atom_site_fract_x
_atom_site_fract_y
_atom_site_fract_z
_atom_site_occupancy
Li1 0.000 0.500 0.224 1
Bi1 0.000 0.000 0.500 1
Au1 0.000 0.000 0.000 1
Au2 0.500 0.500 0.000 1
Au3 0.500 0.500 0.500 1
```

The 8 most intense peaks (15° ≤ 2θ ≤ 90°), in order of rising 2θ:
| index | Position (°2θ) | I_rel |
| --- | --- | --- |
| 0 0 2 | 25.76 | 641 |
| 1 1 0 | 28.48 | 1000 |
| 1 1 2 | 38.78 | 992 |
| 2 0 0 | 40.71 | 435 |
| 2 0 2 | 48.81 | 471 |
| 1 1 4 | 61.22 | 244 |
| 2 2 2 | 65.38 | 199 |
| 3 1 2 | 72.81 | 324 |

=====

# 2
The following is a theoretical powder diffractogram of TbPa5Sb6. It was derived from a structure optimized by DFT (PBE), using Cu Kα.
Kinematic intensities with the Lorentz-polarization factor, no thermal factor.

Structure:
```
data_TbPa5Sb6
_space_group_name_H-M_alt 'C 1 2/m 1'
_space_group_IT_number 12
_cell_length_a 7.561
_cell_length_b 13.094
_cell_length_c 7.555
_cell_angle_alpha 90.00
_cell_angle_beta 109.49
_cell_angle_gamma 90.00
loop_
_space_group_symop_operation_xyz
'x,y,z'
'-x,-y,-z'
'-x,y,-z'
'x,-y,z'
'x+1/2,y+1/2,z'
'-x+1/2,-y+1/2,-z'
'-x+1/2,y+1/2,-z'
'x+1/2,-y+1/2,z'
loop_
_atom_site_label
_atom_site_fract_x
_atom_site_fract_y
_atom_site_fract_z
_atom_site_occupancy
Tb1 0.000 0.000 0.000 1
Pa1 0.000 0.166 0.500 1
Pa2 0.000 0.333 0.000 1
Pa3 0.000 0.500 0.500 1
Sb1 0.249 0.166 0.249 1
Sb2 0.250 0.000 0.751 1
```

The 8 most intense peaks (15° ≤ 2θ ≤ 90°), in order of rising 2θ:
| index | Position (°2θ) | I_rel |
| --- | --- | --- |
| 2 0 0 | 24.99 | 143 |
| 1 3 1 | 28.94 | 1000 |
| 2 0 2 | 41.38 | 770 |
| 4 0 0 | 51.28 | 277 |
| 2 6 2 | 59.96 | 130 |
| 4 6 0 | 67.93 | 359 |
| 5 3 1 | 75.46 | 267 |
| 4 0 4 | 89.93 | 90 |

=====

# 3
The following is a theoretical powder diffractogram of MnGaPH. It was derived from a structure optimized by DFT (PBE), using Cu Kα.
Kinematic intensities with the Lorentz-polarization factor, no thermal factor.

Structure:
```
data_MnGaPH
_space_group_name_H-M_alt 'P 1'
_space_group_IT_number 1
_cell_length_a 2.904
_cell_length_b 4.155
_cell_length_c 4.201
_cell_angle_alpha 78.93
_cell_angle_beta 69.85
_cell_angle_gamma 89.78
loop_
_space_group_symop_operation_xyz
'x,y,z'
loop_
_atom_site_label
_atom_site_fract_x
_atom_site_fract_y
_atom_site_fract_z
_atom_site_occupancy
Mn1 0.000 0.000 0.000 1
Ga1 0.510 0.501 0.981 1
P1 0.285 0.935 0.433 1
H1 0.170 0.282 0.648 1
```

The 8 most intense peaks (15° ≤ 2θ ≤ 90°), in order of rising 2θ:
| index | Position (°2θ) | I_rel |
| --- | --- | --- |
| 0 0 1 | 23.03 | 1000 |
| 1 1 1 | 38.44 | 358 |
| 1 -1 0 | 38.55 | 353 |
| 1 1 0 | 41.16 | 414 |
| 1 -1 1 | 41.33 | 410 |
| 0 2 0 | 44.54 | 386 |
| 0 0 2 | 47.07 | 353 |
| -1 1 1 | 49.16 | 598 |

=====

# 4
The following is a theoretical powder diffractogram of CaAlSn2Au5. It was derived from a structure optimized by DFT (PBE), using Cu Kα.
Kinematic intensities with the Lorentz-polarization factor, no thermal factor.

Structure:
```
data_CaAlSn2Au5
_space_group_name_H-M_alt 'I m m m'
_space_group_IT_number 71
_space_group_name_Hall '-I 2 2'
_cell_length_a 4.893
_cell_length_b 5.883
_cell_length_c 14.848
_cell_angle_alpha 90.00
_cell_angle_beta 90.00
_cell_angle_gamma 90.00
loop_
_atom_site_label
_atom_site_fract_x
_atom_site_fract_y
_atom_site_fract_z
_atom_site_occupancy
Ca1 0.000 0.000 0.000 1
Al1 0.000 0.000 0.500 1
Sn1 0.000 0.500 0.193 1
Au1 0.000 0.262 0.361 1
Au2 0.000 0.500 0.000 1
```

The 8 most intense peaks (15° ≤ 2θ ≤ 90°), in order of rising 2θ:
| index | Position (°2θ) | I_rel |
| --- | --- | --- |
| 1 1 0 | 23.65 | 419 |
| 1 0 3 | 25.60 | 887 |
| 1 0 5 | 35.36 | 425 |
| 1 2 1 | 36.14 | 1000 |
| 2 0 0 | 36.73 | 634 |
| 0 2 4 | 39.07 | 679 |
| 1 2 3 | 40.14 | 544 |
| 2 2 4 | 54.71 | 515 |

=====

# 5
The following is a theoretical powder diffractogram of Pm2GaPd2. It was derived from a structure optimized by DFT (PBE), using Cu Kα.
Kinematic intensities with the Lorentz-polarization factor, no thermal factor.

Structure:
```
data_Pm2GaPd2
_space_group_name_H-M_alt 'I m m m'
_space_group_IT_number 71
_space_group_name_Hall '-I 2 2'
_cell_length_a 4.459
_cell_length_b 5.720
_cell_length_c 8.667
_cell_angle_alpha 90.00
_cell_angle_beta 90.00
_cell_angle_gamma 90.00
loop_
_atom_site_label
_atom_site_fract_x
_atom_site_fract_y
_atom_site_fract_z
_atom_site_occupancy
Pm1 0.000 0.000 0.201 1
Ga1 0.000 0.500 0.000 1
Pd1 0.000 0.260 0.500 1
```

The 8 most intense peaks (15° ≤ 2θ ≤ 90°), in order of rising 2θ:
| index | Position (°2θ) | I_rel |
| --- | --- | --- |
| 1 1 0 | 25.33 | 386 |
| 1 1 2 | 32.80 | 1000 |
| 0 1 3 | 34.79 | 344 |
| 1 0 3 | 37.08 | 475 |
| 0 2 2 | 37.69 | 465 |
| 1 2 1 | 38.83 | 836 |
| 2 0 0 | 40.46 | 446 |
| 1 2 5 | 66.47 | 402 |

=====

# 6
The following is a theoretical powder diffractogram of Er3Zn4Ni4. It was derived from a structure optimized by DFT (PBE), using Cu Kα.
Kinematic intensities with the Lorentz-polarization factor, no thermal factor.

Structure:
```
data_Er3Zn4Ni4
_space_group_name_H-M_alt 'I m m m'
_space_group_IT_number 71
_space_group_name_Hall '-I 2 2'
_cell_length_a 3.964
_cell_length_b 7.002
_cell_length_c 13.385
_cell_angle_alpha 90.00
_cell_angle_beta 90.00
_cell_angle_gamma 90.00
loop_
_atom_site_label
_atom_site_fract_x
_atom_site_fract_y
_atom_site_fract_z
_atom_site_occupancy
Er1 0.000 0.000 0.000 1
Er2 0.000 0.500 0.127 1
Zn1 0.000 0.308 0.329 1
Ni1 0.000 0.000 0.220 1
Ni2 0.000 0.174 0.500 1
```

The 8 most intense peaks (15° ≤ 2θ ≤ 90°), in order of rising 2θ:
| index | Position (°2θ) | I_rel |
| --- | --- | --- |
| 0 2 0 | 25.44 | 162 |
| 1 2 1 | 34.84 | 910 |
| 0 1 5 | 35.92 | 286 |
| 1 1 4 | 37.44 | 1000 |
| 0 3 3 | 43.77 | 347 |
| 2 0 0 | 45.78 | 318 |
| 2 3 3 | 65.20 | 206 |
| 1 5 4 | 77.76 | 177 |

=====

What did the first record say?
The following is a theoretical powder diffractogram of Li4BiAu3. It was derived from a structure optimized by DFT (PBE), using Cu Kα.
Kinematic intensities with the Lorentz-polarization factor, no thermal factor.

Structure:
```
data_Li4BiAu3
_space_group_name_H-M_alt 'P 4/m m m'
_space_group_IT_number 123
_space_group_name_Hall '-P 4 2'
_cell_length_a 4.432
_cell_length_b 4.432
_cell_length_c 6.916
_cell_angle_alpha 90.00
_cell_angle_beta 90.00
_cell_angle_gamma 90.00
loop_
_atom_site_label
_atom_site_fract_x
_atom_site_fract_y
_atom_site_fract_z
_atom_site_occupancy
Li1 0.000 0.500 0.224 1
Bi1 0.000 0.000 0.500 1
Au1 0.000 0.000 0.000 1
Au2 0.500 0.500 0.000 1
Au3 0.500 0.500 0.500 1
```

The 8 most intense peaks (15° ≤ 2θ ≤ 90°), in order of rising 2θ:
| index | Position (°2θ) | I_rel |
| --- | --- | --- |
| 0 0 2 | 25.76 | 641 |
| 1 1 0 | 28.48 | 1000 |
| 1 1 2 | 38.78 | 992 |
| 2 0 0 | 40.71 | 435 |
| 2 0 2 | 48.81 | 471 |
| 1 1 4 | 61.22 | 244 |
| 2 2 2 | 65.38 | 199 |
| 3 1 2 | 72.81 | 324 |